1.
Structure and computed powder XRD pattern of GdCo2Ni2B (a DFT-relaxed cell (PBE, the Materials Project); Cu Kα X-rays).
Neutral-atom scattering factors, no anomalous dispersion.

Peak list (12 most intense, 10° ≤ 2θ ≤ 90°, in order of falling intensity)
index	two_theta	intensity
2 0 2	44.74	100.0
0 2 2	33.31	86.2
2 2 0	41.48	74.3
1 3 0	35.72	32.4
1 5 2	62.61	18.8
3 3 2	70.53	18.2
2 2 4	69.94	14.8
1 3 4	66.07	14.8
2 6 0	75.61	14.1
1 1 0	20.40	13.2
0 0 4	53.57	12.5
0 0 3	39.51	10.9

Atomic structure:
abc: 5.021 8.719 6.842
angles: 90.00 90.00 90.00
Space group Cmm2 (No. 35)
One atom of each set of equivalent atoms:
Gd: 0.000 0.000 0.000
Gd: 0.000 0.000 0.496
Co: 0.000 0.500 0.206
Co: 0.000 0.500 0.792
Co: 0.250 0.250 0.208
Ni: 0.000 0.336 0.498
Ni: 0.250 0.250 0.790
B: 0.000 0.334 0.001

---

2.
Structure and computed powder XRD pattern of GdCoNi3B (a DFT-relaxed cell (PBE, the Materials Project); Cu Kα X-rays).
Neutral-atom scattering factors, no anomalous dispersion.

Peak list (12 most intense, 10° ≤ 2θ ≤ 90°, in order of falling intensity)
index	two_theta	intensity
1 1 2	44.67	100.0
1 0 2	33.08	91.4
2 0 0	41.71	77.6
1 1 0	35.91	30.2
2 1 2	62.76	28.9
3 0 2	70.67	24.2
2 2 0	76.13	21.3
2 0 4	69.42	15.2
1 1 4	65.49	14.9
1 0 0	20.51	13.0
0 0 4	52.77	12.8
3 1 2	85.55	12.3

Atomic structure:
abc: 5.0013 5.0013 6.9386
angles: 90.00 90.00 120.00
Space group P6/mmm (No. 191)
One atom of each set of equivalent atoms:
Gd: 0.0000 0.0000 0.0000
Gd: 0.0000 0.0000 0.5000
Co: 0.3333 0.6667 0.0000
Ni: 0.0000 0.5000 0.2929
B: 0.3333 0.6667 0.5000

---

3.
Structure and computed powder XRD pattern of GdYCo4B4 (a DFT-relaxed cell (PBE, the Materials Project); Cu Kα X-rays).
Neutral-atom scattering factors, no anomalous dispersion.

Peak list (12 most intense, 10° ≤ 2θ ≤ 90°, in order of falling intensity)
index	two_theta	intensity
1 1 2	40.61	100.0
1 0 1	26.78	66.3
1 0 3	38.05	39.1
0 0 4	37.87	28.8
2 0 0	51.42	28.5
2 0 4	65.61	21.7
1 1 6	70.24	20.9
3 1 2	89.64	19.4
2 1 1	58.92	15.1
2 1 3	65.73	14.9
1 0 5	54.77	10.6
2 2 4	87.91	9.6

Atomic structure:
abc: 3.554 3.554 9.504
angles: 90.00 90.00 90.00
Space group P4/mmm (No. 123)
One atom of each set of equivalent atoms:
Gd: 0.000 0.000 0.000
Y: 0.500 0.500 0.500
Co: 0.000 0.500 0.252
B: 0.000 0.000 0.350
B: 0.500 0.500 0.154

---

4.
Structure and computed powder XRD pattern of Co21Ge2B6 (a DFT-relaxed cell (PBE, the Materials Project); Cu Kα X-rays).
Neutral-atom scattering factors, no anomalous dispersion.

Peak list (12 most intense, 10° ≤ 2θ ≤ 90°, in order of falling intensity)
index	two_theta	intensity
3 3 3	45.06	100.0
4 2 2	42.36	34.5
4 2 0	38.51	27.5
5 3 1	51.73	26.0
4 4 0	49.31	23.1
6 6 0	77.47	22.5
5 5 5	79.38	12.9
6 0 0	52.52	11.7
6 2 2	58.57	8.5
6 4 4	74.90	7.6
9 1 1	84.42	7.2
4 0 0	34.31	5.4

Atomic structure:
abc: 10.454 10.454 10.454
angles: 90.00 90.00 90.00
Space group Fm-3m (No. 225)
One atom of each set of equivalent atoms:
Co: 0.000 0.000 0.000
Co: 0.000 0.168 0.168
Co: 0.119 0.119 0.381
Ge: 0.250 0.250 0.250
B: 0.000 0.000 0.276

---

5.
Structure and computed powder XRD pattern of Hf2Co21B6 (a DFT-relaxed cell (PBE, the Materials Project); Cu Kα X-rays).
Neutral-atom scattering factors, no anomalous dispersion.

Peak list (12 most intense, 10° ≤ 2θ ≤ 90°, in order of falling intensity)
index	two_theta	intensity
3 3 3	44.58	100.0
4 2 0	38.10	84.0
4 2 2	41.90	77.8
6 6 0	76.54	41.4
4 4 0	48.78	40.9
2 0 0	16.79	25.8
5 3 1	51.17	25.7
6 4 4	74.01	24.2
6 2 2	57.92	24.0
2 2 0	23.83	22.8
6 2 0	54.99	14.7
5 5 5	78.42	11.6

Atomic structure:
abc: 10.562 10.562 10.562
angles: 90.00 90.00 90.00
Space group Fm-3m (No. 225)
One atom of each set of equivalent atoms:
Hf: 0.250 0.250 0.250
Co: 0.000 0.000 0.000
Co: 0.000 0.169 0.169
Co: 0.115 0.115 0.385
B: 0.000 0.000 0.275

---

6.
Structure and computed powder XRD pattern of HfCo3B2 (a DFT-relaxed cell (PBE, the Materials Project); Cu Kα X-rays).
Neutral-atom scattering factors, no anomalous dispersion.

Peak list (12 most intense, 10° ≤ 2θ ≤ 90°, in order of falling intensity)
index	two_theta	intensity
1 1 3	36.69	100.0
2 2 0	43.22	79.6
3 0 3	48.22	53.6
1 1 0	21.22	41.6
1 4 3	66.73	35.1
2 2 6	78.02	17.9
3 0 0	37.20	15.1
3 3 3	74.97	13.6
6 0 0	79.27	13.1
0 0 6	61.39	7.2
4 1 0	58.31	6.7
4 1 6	89.76	6.3

Atomic structure:
abc: 8.3732 8.3732 9.0611
angles: 90.00 90.00 120.00
Space group R-3m (No. 166, hexagonal axes)
One atom of each set of equivalent atoms:
Hf: 0.0000 0.0000 0.0000
Hf: 0.0000 0.0000 0.3295
Co: 0.0000 0.5000 0.5000
Co: 0.0015 0.5007 0.1954
B: 0.0000 0.3779 0.0000

---

7.
Structure and computed powder XRD pattern of HfCo3B2 (a DFT-relaxed cell (PBE, the Materials Project); Cu Kα X-rays).
Neutral-atom scattering factors, no anomalous dispersion.

Peak list (12 most intense, 10° ≤ 2θ ≤ 90°, in order of falling intensity)
index	two_theta	intensity
1 0 1	36.45	100.0
2 0 0	43.32	72.6
1 1 1	48.07	54.4
1 0 0	21.27	38.2
2 1 1	66.69	33.9
2 0 2	77.43	24.7
1 1 0	37.28	14.8
3 0 1	74.96	14.2
2 2 0	79.48	12.9
0 0 2	60.65	9.6
2 1 0	58.46	6.0
1 0 2	65.03	4.4

Atomic structure:
abc: 4.8234 4.8234 3.0539
angles: 90.00 90.00 120.00
Space group P6/mmm (No. 191)
One atom of each set of equivalent atoms:
Hf: 0.0000 0.0000 0.0000
Co: 0.0000 0.5000 0.5000
B: 0.3333 0.6667 0.0000

---

8.
Structure and computed powder XRD pattern of HoCo3B2 (a DFT-relaxed cell (PBE, the Materials Project); Cu Kα X-rays).
Neutral-atom scattering factors, no anomalous dispersion.

Peak list (12 most intense, 10° ≤ 2θ ≤ 90°, in order of falling intensity)
index	two_theta	intensity
1 0 1	36.24	100.0
2 0 0	41.89	82.2
1 1 1	47.25	56.8
2 1 1	64.96	35.8
1 0 0	20.59	34.9
2 0 2	76.93	25.6
3 1 1	87.71	15.9
3 0 1	72.81	15.1
2 2 0	76.50	14.6
1 1 0	36.07	14.5
0 0 2	61.20	9.6
2 1 0	56.44	5.6

Atomic structure:
abc: 4.9808 4.9808 3.0288
angles: 90.00 90.00 120.00
Space group P6/mmm (No. 191)
One atom of each set of equivalent atoms:
Ho: 0.0000 0.0000 0.0000
Co: 0.0000 0.5000 0.5000
B: 0.3333 0.6667 0.0000